No. 1
Diffraction record for CsKCuF6. The powder diffractogram is simulated, not measured: it uses the GGA-PBE geometry in Alexandria and Cu Kα.
Intensities are scaled so that the largest is 100.

Largest 8 diffraction maxima, sorted by position, 2θ = 10–90°:
2theta  I (rel.)
16.41  18
22.69  100
28.59  19
28.72  10
36.75  8
36.88  15
42.98  26
47.23  14

Cell and atoms:
abc: 6.245 6.245 5.697
angles: 90.08 90.08 120.29
Positions (direct):
Cs 0.000 0.000 0.000
K 0.666 0.334 0.500
Cu 0.334 0.666 0.500
F 0.087 0.419 0.314
F 0.091 0.668 0.689
F 0.332 0.909 0.311
F 0.335 0.424 0.690
F 0.576 0.665 0.310
F 0.581 0.913 0.686

No. 2
Diffraction record for PAuCS. The powder diffractogram is simulated, not measured: it uses the GGA-PBE geometry in Alexandria and Cu Kα.
Intensities are scaled so that the largest is 100.

Largest 8 diffraction maxima, sorted by position, 2θ = 10–90°:
2theta  I (rel.)
14.84  100
26.75  79
31.62  62
37.55  44
38.93  33
44.59  25
44.76  25
56.15  24

Cell and atoms:
abc: 2.912 4.018 6.135
angles: 90.00 103.43 90.00
Positions (direct):
P 0.000 0.000 0.000
Au 0.120 0.500 0.241
C 0.415 0.000 0.828
S 0.276 0.000 0.543

No. 3
Diffraction record for LiNdPb. The powder diffractogram is simulated, not measured: it uses the GGA-PBE geometry in Alexandria and Cu Kα.
Intensities are scaled so that the largest is 100.

Largest 8 diffraction maxima, sorted by position, 2θ = 10–90°:
2theta  I (rel.)
24.16  92
31.50  100
37.16  65
41.14  24
44.82  19
49.49  29
61.42  31
63.48  27

Cell and atoms:
abc: 4.839 4.839 7.726
angles: 90.00 90.00 120.00
Positions (direct):
Li 0.333 0.667 0.250
Li 0.667 0.333 0.750
Nd 0.000 0.000 0.000
Nd 0.000 0.000 0.500
Pb 0.333 0.667 0.750
Pb 0.667 0.333 0.250

No. 4
Diffraction record for LiPr2GaAu6. The powder diffractogram is simulated, not measured: it uses the GGA-PBE geometry in Alexandria and Cu Kα.
Intensities are scaled so that the largest is 100.

Largest 8 diffraction maxima, sorted by position, 2θ = 10–90°:
2theta  I (rel.)
19.98  42
27.33  38
27.56  46
28.53  38
38.14  100
38.36  28
38.47  27
39.56  49

Cell and atoms:
abc: 5.516 6.831 7.036
angles: 82.21 66.96 66.39
Positions (direct):
Li 0.000 0.000 0.000
Pr 0.475 0.276 0.776
Pr 0.525 0.724 0.224
Ga 0.000 0.500 0.500
Au 0.005 0.269 0.220
Au 0.150 0.095 0.605
Au 0.495 0.732 0.779
Au 0.505 0.268 0.221
Au 0.850 0.905 0.395
Au 0.995 0.731 0.780

No. 5
Diffraction record for AlH2I. The powder diffractogram is simulated, not measured: it uses the GGA-PBE geometry in Alexandria and Cu Kα.
Intensities are scaled so that the largest is 100.

Largest 8 diffraction maxima, sorted by position, 2θ = 10–90°:
2theta  I (rel.)
18.16  47
21.76  56
22.82  45
24.07  100
25.75  90
29.11  81
30.74  60
38.99  40

Cell and atoms:
abc: 4.508 6.463 10.735
angles: 90.00 114.49 90.00
Positions (direct):
Al 0.182 0.029 0.431
Al 0.182 0.471 0.931
Al 0.818 0.529 0.069
Al 0.818 0.971 0.569
H 0.097 0.666 0.027
H 0.097 0.834 0.527
H 0.490 0.612 0.915
H 0.490 0.888 0.415
H 0.510 0.112 0.585
H 0.510 0.388 0.085
H 0.903 0.166 0.473
H 0.903 0.334 0.973
I 0.273 0.106 0.814
I 0.273 0.394 0.314
I 0.727 0.606 0.686
I 0.727 0.894 0.186

No. 6
Diffraction record for Pd3Au8. The powder diffractogram is simulated, not measured: it uses the GGA-PBE geometry in Alexandria and Cu Kα.
Intensities are scaled so that the largest is 100.

Largest 8 diffraction maxima, sorted by position, 2θ = 10–90°:
2theta  I (rel.)
38.01  100
43.84  17
44.22  16
44.45  16
64.06  16
64.51  11
76.61  7
77.22  13

Cell and atoms:
abc: 5.003 5.003 10.529
angles: 104.19 104.19 48.33
Positions (direct):
Pd 0.000 0.000 0.000
Pd 0.092 0.092 0.635
Pd 0.908 0.908 0.365
Au 0.180 0.180 0.273
Au 0.273 0.273 0.909
Au 0.365 0.365 0.545
Au 0.453 0.453 0.182
Au 0.547 0.547 0.818
Au 0.635 0.635 0.455
Au 0.727 0.727 0.091
Au 0.820 0.820 0.727